Computed powder XRD pattern
Compound: Zr2In5Ni
Radiation: copper Kα
Structure: a cell relaxed with GGA-PBE
Neutral-atom scattering factors, no anomalous dispersion.

Cell and atoms:
a b c (Å): 10.168 10.168 6.793
angles (deg): 90.00 90.00 90.00
Element x y z (fractional)
1 Zr 0.162 0.162 0.000
2 Zr 0.199 0.199 0.500
3 Zr 0.301 0.699 0.000
4 Zr 0.338 0.662 0.500
5 Zr 0.662 0.338 0.500
6 Zr 0.699 0.301 0.000
7 Zr 0.801 0.801 0.500
8 Zr 0.838 0.838 0.000
9 In 0.000 0.000 0.298
10 In 0.000 0.000 0.702
11 In 0.058 0.701 0.278
12 In 0.058 0.701 0.722
13 In 0.201 0.442 0.222
14 In 0.201 0.442 0.778
15 In 0.299 0.942 0.278
16 In 0.299 0.942 0.722
17 In 0.442 0.201 0.222
18 In 0.442 0.201 0.778
19 In 0.500 0.500 0.202
20 In 0.500 0.500 0.798
21 In 0.558 0.799 0.222
22 In 0.558 0.799 0.778
23 In 0.701 0.058 0.278
24 In 0.701 0.058 0.722
25 In 0.799 0.558 0.222
26 In 0.799 0.558 0.778
27 In 0.942 0.299 0.278
28 In 0.942 0.299 0.722
29 Ni 0.113 0.887 0.000
30 Ni 0.387 0.387 0.500
31 Ni 0.613 0.613 0.500
32 Ni 0.887 0.113 0.000

Principal peaks in the range 2θ from 5° to 70°, low angle first:
- (3 1 0), d = 3.216 Å, 27.74 deg, I = 19
- (2 0 2), d = 2.823 Å, 31.70 deg, I = 28
- (2 1 2), d = 2.721 Å, 32.91 deg, I = 30
- (4 1 0), d = 2.467 Å, 36.42 deg, I = 100
- (3 3 0), d = 2.397 Å, 37.53 deg, I = 35
- (3 1 2), d = 2.335 Å, 38.56 deg, I = 67
- (3 2 2), d = 2.170 Å, 41.62 deg, I = 39
- (5 5 0), d = 1.438 Å, 64.82 deg, I = 25